# Pr7AlAg4
Simulated X-ray powder pattern, Cu Kα, 1.54184 Å. Input: a cell relaxed with GGA-PBE.
Peak positions follow from Bragg's law for the DFT cell and can differ from measured ones.

Cell and atoms:
```
data_Pr7AlAg4
_chemical_formula_sum 'Pr14 Al2 Ag8'
_cell_length_a 14.9310
_cell_length_b 5.8023
_cell_length_c 9.3255
_cell_angle_alpha 90.00
_cell_angle_beta 119.40
_cell_angle_gamma 90.00
_symmetry_space_group_name_H-M 'C 1 2/m 1'
_symmetry_Int_Tables_number 12
loop_
_symmetry_equiv_pos_as_xyz
'x,y,z'
'-x,-y,-z'
'-x,y,-z'
'x,-y,z'
'x+1/2,y+1/2,z'
'-x+1/2,-y+1/2,-z'
'-x+1/2,y+1/2,-z'
'x+1/2,-y+1/2,z'
loop_
_atom_site_label
_atom_site_type_symbol
_atom_site_fract_x
_atom_site_fract_y
_atom_site_fract_z
Pr1 Pr 0.0000 0.0000 0.0000
Pr2 Pr 0.0739 0.5000 0.3940
Pr3 Pr 0.1758 0.5000 0.8908
Pr4 Pr 0.2196 0.0000 0.6809
Al1 Al 0.0000 0.5000 0.0000
Ag1 Ag 0.0187 0.0000 0.6768
Ag2 Ag 0.1913 0.0000 0.3342
```

The 10 most intense peaks (2θ = 15–90°), sorted by position:
d (Å), 2theta, I (rel.)
3.376, 26.4, 16
2.952, 30.3, 23
2.899, 30.8, 100
2.870, 31.2, 17
2.818, 31.8, 20
2.711, 33.0, 34
2.634, 34.0, 18
2.616, 34.3, 53
2.374, 37.9, 19
2.049, 44.2, 25

=====

# Li2CdHg8
Simulated X-ray powder pattern, Cu Kα, 1.54184 Å. Input: a cell relaxed with GGA-PBE.
Peak positions follow from Bragg's law for the DFT cell and can differ from measured ones.

Cell and atoms:
```
data_Li2CdHg8
_chemical_formula_sum 'Li4 Cd2 Hg16'
_cell_length_a 9.0276
_cell_length_b 12.4285
_cell_length_c 4.8611
_cell_angle_alpha 90.00
_cell_angle_beta 98.57
_cell_angle_gamma 90.00
_symmetry_space_group_name_H-M 'C 1 m 1'
_symmetry_Int_Tables_number 8
loop_
_symmetry_equiv_pos_as_xyz
'x,y,z'
'x,-y,z'
'x+1/2,y+1/2,z'
'x+1/2,-y+1/2,z'
loop_
_atom_site_label
_atom_site_type_symbol
_atom_site_fract_x
_atom_site_fract_y
_atom_site_fract_z
Li1 Li 0.0000 0.1322 0.0000
Cd1 Cd 0.0010 0.5000 0.5016
Hg1 Hg 0.9999 0.2463 0.4995
Hg2 Hg 0.1593 0.0000 0.4142
Hg3 Hg 0.1835 0.3633 0.0656
Hg4 Hg 0.3158 0.1371 0.9330
Hg5 Hg 0.3431 0.5000 0.5827
```

The 10 most intense peaks (2θ = 15–90°), sorted by position:
d (Å), 2theta, I (rel.)
3.079, 29.0, 26
3.053, 29.3, 74
2.655, 33.8, 43
2.609, 34.4, 100
2.550, 35.2, 28
2.417, 37.2, 46
2.403, 37.4, 26
2.334, 38.6, 19
1.679, 54.7, 25
1.487, 62.5, 22

=====

# LiEr2Zn12Ni3
Simulated X-ray powder pattern, Cu Kα, 1.54184 Å. Input: a cell relaxed with GGA-PBE.
Peak positions follow from Bragg's law for the DFT cell and can differ from measured ones.

Cell and atoms:
```
data_LiEr2Zn12Ni3
_chemical_formula_sum 'Li3 Er6 Zn36 Ni9'
_cell_length_a 7.5518
_cell_length_b 7.5518
_cell_length_c 19.9770
_cell_angle_alpha 90.00
_cell_angle_beta 90.00
_cell_angle_gamma 120.00
_symmetry_space_group_name_H-M 'R -3 m'
_symmetry_Int_Tables_number 166
_symmetry_space_group_name_Hall '-R 3 2"'
loop_
_atom_site_label
_atom_site_type_symbol
_atom_site_fract_x
_atom_site_fract_y
_atom_site_fract_z
Li1 Li 0.0000 0.0000 0.0000
Er1 Er 0.0000 0.0000 0.4151
Zn1 Zn 0.0891 0.5446 0.7692
Zn2 Zn 0.0901 0.5451 0.3770
Ni1 Ni 0.0000 0.5000 0.5000
```

The 10 most intense peaks (2θ = 15–90°), sorted by position:
d (Å), 2theta, I (rel.)
3.969, 22.4, 32
3.227, 27.6, 100
2.616, 34.3, 45
2.531, 35.5, 27
2.497, 36.0, 29
2.400, 37.5, 49
2.102, 43.0, 47
2.072, 43.7, 48
1.888, 48.2, 29
1.757, 52.1, 26

=====

# PrNiHg
Simulated X-ray powder pattern, Cu Kα, 1.54184 Å. Input: a cell relaxed with GGA-PBE.
Peak positions follow from Bragg's law for the DFT cell and can differ from measured ones.

Cell and atoms:
```
data_PrNiHg
_chemical_formula_sum 'Pr2 Ni2 Hg2'
_cell_length_a 3.5898
_cell_length_b 3.5898
_cell_length_c 10.2903
_cell_angle_alpha 90.00
_cell_angle_beta 90.00
_cell_angle_gamma 90.00
_symmetry_space_group_name_H-M 'I 4 m m'
_symmetry_Int_Tables_number 107
_symmetry_space_group_name_Hall 'I 4 -2'
loop_
_atom_site_label
_atom_site_type_symbol
_atom_site_fract_x
_atom_site_fract_y
_atom_site_fract_z
Pr1 Pr 0.0000 0.0000 0.0000
Ni1 Ni 0.0000 0.0000 0.3407
Hg1 Hg 0.0000 0.0000 0.7024
```

The 10 most intense peaks (2θ = 15–90°), sorted by position:
d (Å), 2theta, I (rel.)
3.390, 26.3, 31
2.573, 34.9, 9
2.538, 35.4, 59
2.480, 36.2, 100
1.807, 50.5, 13
1.795, 50.9, 21
1.454, 64.0, 38
1.421, 65.7, 13
1.135, 85.5, 10
1.130, 86.1, 9

=====

# Be2AlAu
Simulated X-ray powder pattern, Cu Kα, 1.54184 Å. Input: a cell relaxed with GGA-PBE.
Peak positions follow from Bragg's law for the DFT cell and can differ from measured ones.

Cell and atoms:
```
data_Be2AlAu
_chemical_formula_sum 'Be2 Al1 Au1'
_cell_length_a 2.8900
_cell_length_b 3.9927
_cell_length_c 4.3830
_cell_angle_alpha 90.00
_cell_angle_beta 90.00
_cell_angle_gamma 90.00
_symmetry_space_group_name_H-M 'P m m 2'
_symmetry_Int_Tables_number 25
loop_
_symmetry_equiv_pos_as_xyz
'x,y,z'
'-x,-y,z'
'-x,y,z'
'x,-y,z'
loop_
_atom_site_label
_atom_site_type_symbol
_atom_site_fract_x
_atom_site_fract_y
_atom_site_fract_z
Be1 Be 0.0000 0.0000 0.0000
Be2 Be 0.0000 0.5000 0.3078
Al1 Al 0.5000 0.5000 0.8572
Au1 Au 0.5000 0.0000 0.4740
```

The 10 most intense peaks (2θ = 15–90°), sorted by position:
d (Å), 2theta, I (rel.)
4.383, 20.3, 90
3.993, 22.3, 69
2.952, 30.3, 100
2.890, 30.9, 49
2.413, 37.3, 44
2.341, 38.5, 36
2.065, 43.8, 88
1.921, 47.3, 29
1.600, 57.6, 27
1.538, 60.2, 22

=====

# Ba6Sr8Ca
Simulated X-ray powder pattern, Cu Kα, 1.54184 Å. Input: a cell relaxed with GGA-PBE.
Peak positions follow from Bragg's law for the DFT cell and can differ from measured ones.

Cell and atoms:
```
data_Ba6Sr8Ca
_chemical_formula_sum 'Ba18 Sr24 Ca3'
_cell_length_a 10.7646
_cell_length_b 10.7646
_cell_length_c 26.1331
_cell_angle_alpha 90.00
_cell_angle_beta 90.00
_cell_angle_gamma 120.00
_symmetry_space_group_name_H-M 'R -3'
_symmetry_Int_Tables_number 148
_symmetry_space_group_name_Hall '-R 3'
loop_
_atom_site_label
_atom_site_type_symbol
_atom_site_fract_x
_atom_site_fract_y
_atom_site_fract_z
Ba1 Ba 0.0222 0.2497 0.2081
Sr1 Sr 0.0000 0.0000 0.0764
Sr2 Sr 0.0545 0.8006 0.6324
Ca1 Ca 0.0000 0.0000 0.5000
```

The 10 most intense peaks (2θ = 15–90°), sorted by position:
d (Å), 2theta, I (rel.)
3.488, 25.5, 100
3.466, 25.7, 27
3.402, 26.2, 33
3.386, 26.3, 51
3.103, 28.8, 12
2.923, 30.6, 17
2.033, 44.6, 23
1.979, 45.9, 26
1.970, 46.1, 11
1.746, 52.4, 18